Structure and theoretical powder diffractogram of Al17B6C18 (a DFT-relaxed cell (PBE, the Materials Project); λ = 1.5418 Å (Cu Kα)).
Lines closer than 0.1° are merged.

Atomic structure:
```
Al17B6C18
1.0
5.825 0.000 0.000
-2.913 5.045 0.000
0.000 0.000 16.145
Al B C
17 6 18
Direct
0.000 0.000 0.000
0.016 0.671 0.127
0.020 0.325 0.626
0.304 0.980 0.626
0.325 0.020 0.374
0.329 0.345 0.127
0.333 0.667 0.478
0.333 0.667 0.983
0.345 0.329 0.873
0.655 0.984 0.127
0.667 0.333 0.017
0.667 0.333 0.522
0.671 0.016 0.873
0.675 0.696 0.626
0.696 0.675 0.374
0.980 0.304 0.374
0.984 0.655 0.873
0.000 0.000 0.239
0.000 0.000 0.761
0.333 0.667 0.263
0.333 0.667 0.757
0.667 0.333 0.243
0.667 0.333 0.737
0.000 0.000 0.150
0.000 0.000 0.327
0.000 0.000 0.673
0.000 0.000 0.850
0.000 0.314 0.500
0.000 0.663 0.000
0.314 0.000 0.500
0.333 0.667 0.174
0.333 0.667 0.353
0.333 0.667 0.668
0.333 0.667 0.847
0.337 0.337 0.000
0.663 0.000 0.000
0.667 0.333 0.153
0.667 0.333 0.332
0.667 0.333 0.647
0.667 0.333 0.826
0.686 0.686 0.500
```

The 6 most intense peaks (10° ≤ 2θ ≤ 80°), low angle first:
| 2θ (°) | I (rel.) |
| --- | --- |
| 31.21 | 100 |
| 35.03 | 25 |
| 38.10 | 44 |
| 50.47 | 25 |
| 54.58 | 62 |
| 73.27 | 26 |

Structure and theoretical powder diffractogram of CsErS2 (a DFT-relaxed cell (PBE, the Materials Project); λ = 1.5418 Å (Cu Kα)).
Lines closer than 0.1° are merged.

Atomic structure:
```
CsErS2
1.0
4.068 0.000 0.000
-2.034 3.523 0.000
0.000 0.000 24.139
Cs Er S
3 3 6
Direct
0.000 0.000 0.000
0.333 0.667 0.667
0.667 0.333 0.333
0.000 0.000 0.500
0.333 0.667 0.167
0.667 0.333 0.833
0.000 0.000 0.227
0.000 0.000 0.773
0.333 0.667 0.440
0.333 0.667 0.894
0.667 0.333 0.106
0.667 0.333 0.560
```

The 6 most intense peaks (10° ≤ 2θ ≤ 80°), low angle first:
| 2θ (°) | I (rel.) |
| --- | --- |
| 22.09 | 34 |
| 26.35 | 55 |
| 29.35 | 100 |
| 39.31 | 38 |
| 44.54 | 33 |
| 50.26 | 23 |

Structure and theoretical powder diffractogram of Ti3Zn3C (a DFT-relaxed cell (PBE, the Materials Project); λ = 1.5418 Å (Cu Kα)).
Lines closer than 0.1° are merged.

Atomic structure:
```
Ti3Zn3C
1.0
0.000 5.789 5.789
5.789 0.000 5.789
5.789 5.789 0.000
Ti Zn C
12 12 4
Direct
0.058 0.058 0.692
0.058 0.692 0.058
0.058 0.692 0.692
0.308 0.308 0.942
0.308 0.942 0.308
0.308 0.942 0.942
0.692 0.058 0.058
0.692 0.058 0.692
0.692 0.692 0.058
0.942 0.308 0.308
0.942 0.308 0.942
0.942 0.942 0.308
0.000 0.500 0.500
0.290 0.290 0.290
0.290 0.290 0.630
0.290 0.630 0.290
0.370 0.710 0.710
0.500 0.000 0.500
0.500 0.500 0.000
0.500 0.500 0.500
0.630 0.290 0.290
0.710 0.370 0.710
0.710 0.710 0.370
0.710 0.710 0.710
0.000 0.000 0.000
0.000 0.000 0.500
0.000 0.500 0.000
0.500 0.000 0.000
```

The 6 most intense peaks (10° ≤ 2θ ≤ 80°), low angle first:
| 2θ (°) | I (rel.) |
| --- | --- |
| 13.24 | 19 |
| 38.08 | 24 |
| 40.48 | 100 |
| 44.25 | 26 |
| 47.09 | 14 |
| 68.80 | 25 |

Structure and theoretical powder diffractogram of TeCF3 (a DFT-relaxed cell (PBE, the Materials Project); λ = 1.5418 Å (Cu Kα)).
Lines closer than 0.1° are merged.

Atomic structure:
```
TeCF3
1.0
7.035 0.000 0.000
0.000 11.795 0.000
-1.967 0.000 10.261
Te C F
8 8 24
Direct
0.006 0.097 0.300
0.006 0.403 0.800
0.252 0.144 0.524
0.252 0.356 0.024
0.748 0.644 0.976
0.748 0.856 0.476
0.994 0.597 0.200
0.994 0.903 0.700
0.190 0.533 0.729
0.190 0.967 0.229
0.424 0.223 0.945
0.424 0.277 0.445
0.576 0.723 0.555
0.576 0.777 0.055
0.810 0.033 0.771
0.810 0.467 0.271
0.096 0.573 0.612
0.096 0.927 0.112
0.229 0.623 0.811
0.229 0.877 0.311
0.315 0.134 0.889
0.315 0.366 0.389
0.363 0.010 0.211
0.363 0.490 0.711
0.443 0.681 0.453
0.443 0.819 0.953
0.477 0.737 0.145
0.477 0.763 0.645
0.523 0.237 0.355
0.523 0.263 0.855
0.557 0.181 0.047
0.557 0.319 0.547
0.637 0.510 0.289
0.637 0.990 0.789
0.685 0.634 0.611
0.685 0.866 0.111
0.771 0.123 0.689
0.771 0.377 0.189
0.904 0.073 0.888
0.904 0.427 0.388
```

The 6 most intense peaks (10° ≤ 2θ ≤ 80°), low angle first:
| 2θ (°) | I (rel.) |
| --- | --- |
| 11.43 | 46 |
| 14.86 | 41 |
| 20.62 | 100 |
| 20.93 | 39 |
| 29.82 | 30 |
| 34.89 | 34 |

Structure and theoretical powder diffractogram of ScIn2 (a DFT-relaxed cell (PBE, the Materials Project); λ = 1.5418 Å (Cu Kα)).
Lines closer than 0.1° are merged.

Atomic structure:
```
ScIn2
1.0
4.526 0.000 0.000
0.000 13.653 0.000
0.000 0.000 4.491
Sc In
4 8
Direct
0.000 0.156 0.000
0.000 0.844 0.000
0.500 0.344 0.000
0.500 0.656 0.000
0.000 0.000 0.500
0.000 0.324 0.500
0.000 0.500 0.000
0.000 0.676 0.500
0.500 0.000 0.000
0.500 0.176 0.500
0.500 0.500 0.500
0.500 0.824 0.500
```

The 6 most intense peaks (10° ≤ 2θ ≤ 80°), low angle first:
| 2θ (°) | I (rel.) |
| --- | --- |
| 34.34 | 100 |
| 39.61 | 16 |
| 39.83 | 17 |
| 40.16 | 16 |
| 57.84 | 12 |
| 68.80 | 13 |

Structure and theoretical powder diffractogram of H16Ru3C6Cl6O14 (a DFT-relaxed cell (PBE, the Materials Project); λ = 1.5418 Å (Cu Kα)).
Lines closer than 0.1° are merged.

Atomic structure:
```
H16Ru3C6Cl6O14
1.0
6.647 0.000 0.000
-3.261 6.643 0.000
-2.314 -1.701 14.922
H Ru C Cl O
16 3 6 6 14
Direct
0.051 0.085 0.179
0.099 0.514 0.121
0.223 0.767 0.023
0.226 0.331 0.920
0.259 0.397 0.023
0.278 0.867 0.932
0.295 0.156 0.157
0.363 0.650 0.142
0.637 0.350 0.858
0.705 0.844 0.843
0.722 0.133 0.068
0.741 0.603 0.977
0.774 0.669 0.080
0.777 0.233 0.977
0.901 0.486 0.879
0.949 0.915 0.821
0.000 0.000 0.000
0.259 0.389 0.678
0.741 0.611 0.322
0.062 0.771 0.334
0.224 0.589 0.612
0.268 0.248 0.574
0.732 0.752 0.426
0.776 0.411 0.388
0.938 0.229 0.666
0.273 0.577 0.820
0.317 0.138 0.767
0.329 0.418 0.307
0.671 0.582 0.693
0.683 0.862 0.233
0.727 0.423 0.180
0.136 0.052 0.139
0.201 0.708 0.570
0.230 0.580 0.092
0.239 0.886 0.990
0.251 0.289 0.980
0.256 0.871 0.345
0.277 0.163 0.511
0.723 0.837 0.489
0.744 0.129 0.655
0.749 0.711 0.020
0.761 0.114 0.010
0.770 0.420 0.908
0.799 0.292 0.430
0.864 0.948 0.861
```

The 6 most intense peaks (10° ≤ 2θ ≤ 80°), low angle first:
| 2θ (°) | I (rel.) |
| --- | --- |
| 15.02 | 100 |
| 15.28 | 97 |
| 16.90 | 96 |
| 17.25 | 88 |
| 17.41 | 62 |
| 17.83 | 72 |